Entry 1:
Calculated X-ray diffraction stick pattern of Ac2DyRe2N6 for Cu Kα (weighted mean of Kα1 and Kα2), from a DFT-relaxed cell (GGA-PBE, Alexandria).

Peak list (12 most intense, 2θ from 10° to 90°, low angle first)
2theta	intensity
29.8	100
30.2	100
43.0	41
52.7	18
53.5	42
53.7	21
62.9	15
70.5	15
71.1	17
86.5	11
87.1	11
87.3	11

Structural model:
Lattice parameters (Å, degrees): 7.0342 7.0342 7.0342 49.70 49.70 49.70
Positions (direct):
Ac 0.2122 0.2122 0.2122
Ac 0.7878 0.7878 0.7878
Dy 0.0000 0.0000 0.0000
Re 0.4009 0.4009 0.4009
Re 0.5991 0.5991 0.5991
N 0.2318 0.7437 0.7437
N 0.2563 0.2563 0.7682
N 0.2563 0.7682 0.2563
N 0.7437 0.2318 0.7437
N 0.7437 0.7437 0.2318
N 0.7682 0.2563 0.2563

Entry 2:
Calculated X-ray diffraction stick pattern of Ac3DySi2N6 for Cu Kα (weighted mean of Kα1 and Kα2), from a DFT-relaxed cell (GGA-PBE, Alexandria).

Peak list (12 most intense, 2θ from 10° to 90°, low angle first)
2theta	intensity
21.6	53
30.0	100
31.4	90
37.3	23
44.0	44
48.6	14
53.3	21
54.2	39
56.7	17
62.4	16
71.5	18
73.7	16

Structural model:
Lattice parameters (Å, degrees): 5.9552 5.9552 6.8403 90.00 90.00 120.00
Positions (direct):
Ac 0.0000 0.0000 0.0000
Ac 0.3333 0.6667 0.6589
Ac 0.6667 0.3333 0.3411
Dy 0.0000 0.0000 0.5000
Si 0.3333 0.6667 0.2092
Si 0.6667 0.3333 0.7908
N 0.1759 0.3518 0.2903
N 0.1759 0.8241 0.2903
N 0.3518 0.1759 0.7097
N 0.6482 0.8241 0.2903
N 0.8241 0.1759 0.7097
N 0.8241 0.6482 0.7097

Entry 3:
Calculated X-ray diffraction stick pattern of Ac2DyTc2N6 for Cu Kα (weighted mean of Kα1 and Kα2), from a DFT-relaxed cell (GGA-PBE, Alexandria).

Peak list (12 most intense, 2θ from 10° to 90°, low angle first)
2theta	intensity
26.1	11
29.9	100
30.5	98
43.2	40
52.7	18
53.8	40
54.1	20
63.4	15
70.7	15
71.7	17
87.8	10
88.1	11

Structural model:
Lattice parameters (Å, degrees): 7.0352 7.0352 7.0352 49.29 49.29 49.29
Positions (direct):
Ac 0.2117 0.2117 0.2117
Ac 0.7883 0.7883 0.7883
Dy 0.0000 0.0000 0.0000
Tc 0.3999 0.3999 0.3999
Tc 0.6001 0.6001 0.6001
N 0.2321 0.7433 0.7433
N 0.2567 0.2567 0.7679
N 0.2567 0.7679 0.2567
N 0.7433 0.2321 0.7433
N 0.7433 0.7433 0.2321
N 0.7679 0.2567 0.2567

Entry 4:
Calculated X-ray diffraction stick pattern of AcDyTiN3 for Cu Kα (weighted mean of Kα1 and Kα2), from a DFT-relaxed cell (GGA-PBE, Alexandria).

Peak list (12 most intense, 2θ from 10° to 90°, low angle first)
2theta	intensity
11.5	72
18.3	25
23.1	31
27.1	91
28.8	42
29.9	68
33.9	62
34.6	87
35.0	100
44.9	26
46.1	30
59.5	27

Structural model:
Lattice parameters (Å, degrees): 7.5474 3.6351 7.8578 90.00 101.72 90.00
Positions (direct):
Ac 0.1858 0.2500 0.1896
Ac 0.8142 0.7500 0.8104
Dy 0.3609 0.7500 0.8465
Dy 0.6391 0.2500 0.1535
Ti 0.1014 0.2500 0.6011
Ti 0.8986 0.7500 0.3989
N 0.1157 0.2500 0.8482
N 0.1657 0.7500 0.5260
N 0.4200 0.7500 0.1418
N 0.5800 0.2500 0.8582
N 0.8343 0.2500 0.4740
N 0.8843 0.7500 0.1518

Entry 5:
Calculated X-ray diffraction stick pattern of AcDyW2N6 for Cu Kα (weighted mean of Kα1 and Kα2), from a DFT-relaxed cell (GGA-PBE, Alexandria).

Peak list (12 most intense, 2θ from 10° to 90°, low angle first)
2theta	intensity
24.7	18
26.2	100
27.3	42
30.1	57
30.6	31
31.5	68
34.6	21
34.8	20
47.8	19
50.2	21
52.7	17
57.5	19

Structural model:
Lattice parameters (Å, degrees): 7.3879 7.3879 6.1943 102.23 102.23 85.85
Positions (direct):
Ac 0.1897 0.8103 0.7500
Ac 0.8103 0.1897 0.2500
Dy 0.4121 0.5879 0.2500
Dy 0.5879 0.4121 0.7500
W 0.1222 0.3030 0.7752
W 0.3030 0.1222 0.2752
W 0.6970 0.8778 0.7248
W 0.8778 0.6970 0.2248
N 0.1096 0.6108 0.3233
N 0.1280 0.1665 0.0127
N 0.1665 0.1280 0.5127
N 0.2919 0.4917 0.8621
N 0.3892 0.8904 0.1767
N 0.4917 0.2919 0.3621
N 0.5083 0.7081 0.6379
N 0.6108 0.1096 0.8233
N 0.7081 0.5083 0.1379
N 0.8335 0.8720 0.4873
N 0.8720 0.8335 0.9873
N 0.8904 0.3892 0.6767

Entry 6:
Calculated X-ray diffraction stick pattern of AcDy2WN4 for Cu Kα (weighted mean of Kα1 and Kα2), from a DFT-relaxed cell (GGA-PBE, Alexandria).

Peak list (12 most intense, 2θ from 10° to 90°, low angle first)
2theta	intensity
26.5	23
29.3	25
29.6	47
30.3	35
30.5	100
34.7	43
37.1	66
40.2	15
51.0	24
51.2	26
52.5	17
61.4	14

Structural model:
Lattice parameters (Å, degrees): 6.3389 6.3389 12.0703 90.00 90.00 148.07
Positions (direct):
Ac 0.0801 0.9199 0.7500
Ac 0.9199 0.0801 0.2500
Dy 0.3710 0.6290 0.5396
Dy 0.3710 0.6290 0.9604
Dy 0.6290 0.3710 0.0396
Dy 0.6290 0.3710 0.4604
W 0.1784 0.8216 0.2500
W 0.8216 0.1784 0.7500
N 0.0000 0.0000 0.0000
N 0.0000 0.0000 0.5000
N 0.2615 0.7385 0.1158
N 0.2615 0.7385 0.3842
N 0.4154 0.5846 0.7500
N 0.5846 0.4154 0.2500
N 0.7385 0.2615 0.6158
N 0.7385 0.2615 0.8842

Entry 7:
Calculated X-ray diffraction stick pattern of Ac3Nd2Dy7 for Cu Kα (weighted mean of Kα1 and Kα2), from a DFT-relaxed cell (GGA-PBE, Alexandria).

Peak list (12 most intense, 2θ from 10° to 90°, low angle first)
2theta	intensity
23.2	13
28.9	19
30.3	100
30.5	17
30.7	13
30.8	78
32.2	42
34.4	30
44.1	18
48.1	16
54.5	20
58.3	18

Structural model:
Lattice parameters (Å, degrees): 3.7816 5.7942 20.4972 90.02 95.29 90.00
Positions (direct):
Ac 0.0000 0.0000 0.0000
Ac 0.3219 0.5000 0.6438
Ac 0.6781 0.5000 0.3562
Nd 0.1381 0.9996 0.2770
Nd 0.8619 0.0004 0.7230
Dy 0.0833 0.5000 0.1669
Dy 0.2166 0.0002 0.4333
Dy 0.4302 0.0000 0.8601
Dy 0.5000 0.5000 0.0000
Dy 0.5698 0.0000 0.1399
Dy 0.7834 0.9998 0.5667
Dy 0.9167 0.5000 0.8331

Entry 8:
Calculated X-ray diffraction stick pattern of Ac2Nd5Dy4 for Cu Kα (weighted mean of Kα1 and Kα2), from a DFT-relaxed cell (GGA-PBE, Alexandria).

Peak list (12 most intense, 2θ from 10° to 90°, low angle first)
2theta	intensity
29.6	100
29.8	33
34.4	45
34.4	22
49.3	16
49.5	16
49.6	16
58.7	29
58.8	10
58.9	14
80.3	8
83.0	7

Structural model:
Lattice parameters (Å, degrees): 6.3653 8.2385 8.2526 107.43 97.17 104.75
Positions (direct):
Ac 0.1381 0.0468 0.2307
Ac 0.8619 0.9532 0.7693
Nd 0.2263 0.4139 0.0456
Nd 0.4096 0.1395 0.6844
Nd 0.5000 0.5000 0.5000
Nd 0.5904 0.8605 0.3156
Nd 0.7737 0.5861 0.9544
Dy 0.0480 0.6744 0.4093
Dy 0.3189 0.7678 0.8617
Dy 0.6811 0.2322 0.1383
Dy 0.9520 0.3256 0.5907

Entry 9:
Calculated X-ray diffraction stick pattern of AcNd5Dy6 for Cu Kα (weighted mean of Kα1 and Kα2), from a DFT-relaxed cell (GGA-PBE, Alexandria).

Peak list (12 most intense, 2θ from 10° to 90°, low angle first)
2theta	intensity
29.2	44
30.5	34
32.2	100
36.6	24
48.4	11
49.9	26
55.3	22
59.7	31
60.6	16
77.7	8
82.3	14
84.9	12

Structural model:
Lattice parameters (Å, degrees): 6.3293 6.3293 11.7065 90.00 90.00 120.00
Positions (direct):
Ac 0.0000 0.0000 0.0000
Nd 0.0000 0.0000 0.5000
Nd 0.3333 0.6667 0.0000
Nd 0.3333 0.6667 0.5000
Nd 0.6667 0.3333 0.0000
Nd 0.6667 0.3333 0.5000
Dy 0.0000 0.3342 0.2524
Dy 0.0000 0.6658 0.7476
Dy 0.3342 0.0000 0.2524
Dy 0.3342 0.3342 0.7476
Dy 0.6658 0.0000 0.7476
Dy 0.6658 0.6658 0.2524

Entry 10:
Calculated X-ray diffraction stick pattern of Ac2Nd2Dy7 for Cu Kα (weighted mean of Kα1 and Kα2), from a DFT-relaxed cell (GGA-PBE, Alexandria).

Peak list (12 most intense, 2θ from 10° to 90°, low angle first)
2theta	intensity
26.7	23
27.1	23
29.8	38
30.8	14
32.2	100
34.2	16
34.3	8
43.4	10
48.9	10
49.1	9
54.5	20
58.3	12

Structural model:
Lattice parameters (Å, degrees): 10.7288 10.7288 10.7288 159.99 112.16 71.53
Positions (direct):
Ac 0.1930 0.1930 0.0000
Ac 0.8070 0.8070 0.0000
Nd 0.2484 0.0000 0.2484
Nd 0.7516 0.0000 0.7516
Dy 0.0000 0.5000 0.5000
Dy 0.0986 0.3321 0.7665
Dy 0.3903 0.8903 0.5000
Dy 0.4344 0.6679 0.7665
Dy 0.5656 0.3321 0.2335
Dy 0.6097 0.1097 0.5000
Dy 0.9014 0.6679 0.2335

Entry 11:
Calculated X-ray diffraction stick pattern of Ac12Nd5Dy for Cu Kα (weighted mean of Kα1 and Kα2), from a DFT-relaxed cell (GGA-PBE, Alexandria).

Peak list (12 most intense, 2θ from 10° to 90°, low angle first)
2theta	intensity
28.1	100
32.5	35
32.8	17
46.5	7
46.8	25
55.2	8
55.3	16
55.4	8
55.7	11
58.1	7
58.2	7
77.6	9

Structural model:
Lattice parameters (Å, degrees): 11.6451 11.6451 6.7112 106.23 106.23 60.18
Positions (direct):
Ac 0.0020 0.3299 0.5000
Ac 0.1633 0.8367 0.0000
Ac 0.1689 0.4976 0.9990
Ac 0.3299 0.0020 0.5000
Ac 0.3345 0.6650 0.5001
Ac 0.4976 0.1689 0.9990
Ac 0.5024 0.8311 0.0009
Ac 0.6650 0.3345 0.5001
Ac 0.6696 0.9975 0.5001
Ac 0.8311 0.5024 0.0009
Ac 0.8367 0.1633 0.0000
Ac 0.9975 0.6696 0.5001
Nd 0.1662 0.1662 0.9984
Nd 0.3331 0.3331 0.4989
Nd 0.5000 0.5000 0.0002
Nd 0.6664 0.6664 0.5007
Nd 0.8339 0.8339 0.0019
Dy 0.9998 0.9998 0.4999

Entry 12:
Calculated X-ray diffraction stick pattern of AcNd6Dy2 for Cu Kα (weighted mean of Kα1 and Kα2), from a DFT-relaxed cell (GGA-PBE, Alexandria).

Peak list (12 most intense, 2θ from 10° to 90°, low angle first)
2theta	intensity
30.5	93
30.7	100
39.9	7
43.9	35
50.8	8
54.5	24
54.6	26
60.5	28
64.1	8
77.8	9
86.0	7
89.0	10

Structural model:
Lattice parameters (Å, degrees): 12.2527 12.2527 12.2527 152.48 131.54 56.64
Positions (direct):
Ac 0.2500 0.2500 0.0000
Ac 0.7500 0.7500 0.0000
Nd 0.0045 0.3385 0.6676
Nd 0.0798 0.0798 0.0000
Nd 0.1708 0.8385 0.3340
Nd 0.3292 0.6631 0.6676
Nd 0.4202 0.4202 0.0000
Nd 0.4955 0.1631 0.3340
Nd 0.5045 0.8369 0.6660
Nd 0.5798 0.5798 0.0000
Nd 0.6708 0.3369 0.3324
Nd 0.8292 0.1615 0.6660
Nd 0.9202 0.9202 0.0000
Nd 0.9955 0.6615 0.3324
Dy 0.1669 0.4985 0.6653
Dy 0.3331 0.9985 0.3316
Dy 0.6669 0.0015 0.6684
Dy 0.8331 0.5015 0.3347

> Number 6 is which compound?

AcDy2WN4

> Number 3 is which compound?

Ac2DyTc2N6